No. 1
# Na4Sr6Ir
Theoretical X-ray powder pattern, Cu Kα. Input: DFT lattice parameters and positions (GGA-PBE).
Peak positions follow from Bragg's law for the DFT cell and can differ from measured ones.

Crystal structure
a b c (Å): 9.541 9.541 10.426
angles (deg): 90.00 90.00 90.00
Atoms (fractional coordinates):
Na: 0.121 0.379 0.250
Na: 0.121 0.379 0.750
Na: 0.379 0.879 0.250
Na: 0.379 0.879 0.750
Na: 0.621 0.121 0.250
Na: 0.621 0.121 0.750
Na: 0.879 0.621 0.250
Na: 0.879 0.621 0.750
Sr: 0.000 0.000 0.217
Sr: 0.000 0.000 0.783
Sr: 0.143 0.720 0.500
Sr: 0.220 0.643 0.000
Sr: 0.280 0.143 0.500
Sr: 0.357 0.220 0.000
Sr: 0.500 0.500 0.283
Sr: 0.500 0.500 0.717
Sr: 0.643 0.780 0.000
Sr: 0.720 0.857 0.500
Sr: 0.780 0.357 0.000
Sr: 0.857 0.280 0.500
Ir: 0.000 0.000 0.500
Ir: 0.500 0.500 0.000

Main lines, in order of rising 2θ (2θ = 10–90°):
Position (°2θ)	Rel. int.
12.6	100.0
13.1	64.4
26.4	33.5
27.0	54.9
27.3	43.3
29.6	65.1
43.0	33.0
46.0	33.7

=====

No. 2
# Na3Sr6Ir
Theoretical X-ray powder pattern, Cu Kα. Input: DFT lattice parameters and positions (GGA-PBE).
Peak positions follow from Bragg's law for the DFT cell and can differ from measured ones.

Crystal structure
a b c (Å): 12.040 12.040 7.108
angles (deg): 90.00 90.00 116.84
Atoms (fractional coordinates):
Na: 0.076 0.244 0.490
Na: 0.079 0.921 0.500
Na: 0.244 0.076 0.990
Na: 0.756 0.924 0.490
Na: 0.921 0.079 0.000
Na: 0.924 0.756 0.990
Sr: 0.088 0.588 0.666
Sr: 0.243 0.757 0.155
Sr: 0.245 0.413 0.985
Sr: 0.411 0.589 0.494
Sr: 0.412 0.912 0.666
Sr: 0.413 0.245 0.485
Sr: 0.587 0.755 0.985
Sr: 0.588 0.088 0.166
Sr: 0.589 0.411 0.994
Sr: 0.755 0.587 0.485
Sr: 0.757 0.243 0.655
Sr: 0.912 0.412 0.166
Ir: 0.333 0.667 0.838
Ir: 0.667 0.333 0.338

Main lines, in order of rising 2θ (2θ = 10–90°):
Position (°2θ)	Rel. int.
14.7	30.0
14.9	47.7
15.2	32.2
25.7	28.3
26.5	28.4
27.9	100.0
33.0	35.3
44.1	38.4

=====

No. 3
# Na2Sr4Ir
Theoretical X-ray powder pattern, Cu Kα. Input: DFT lattice parameters and positions (GGA-PBE).
Peak positions follow from Bragg's law for the DFT cell and can differ from measured ones.

Crystal structure
a b c (Å): 5.878 5.878 18.707
angles (deg): 90.00 90.00 90.00
Atoms (fractional coordinates):
Na: 0.000 0.000 0.139
Na: 0.000 0.000 0.861
Na: 0.500 0.500 0.361
Na: 0.500 0.500 0.639
Sr: 0.000 0.000 0.343
Sr: 0.000 0.000 0.657
Sr: 0.000 0.500 0.000
Sr: 0.000 0.500 0.500
Sr: 0.500 0.000 0.000
Sr: 0.500 0.000 0.500
Sr: 0.500 0.500 0.157
Sr: 0.500 0.500 0.843
Ir: 0.000 0.000 0.500
Ir: 0.500 0.500 0.000

Main lines, in order of rising 2θ (2θ = 10–90°):
Position (°2θ)	Rel. int.
15.8	100.0
28.3	23.8
28.6	29.4
30.4	57.1
31.9	23.6
34.5	30.2
42.3	40.8
53.0	24.0

=====

No. 4
# Na2Sr6TlIr
Theoretical X-ray powder pattern, Cu Kα. Input: DFT lattice parameters and positions (GGA-PBE).
Peak positions follow from Bragg's law for the DFT cell and can differ from measured ones.

Crystal structure
a b c (Å): 8.780 8.780 8.780
angles (deg): 120.09 89.96 119.96
Atoms (fractional coordinates):
Na: 0.250 0.000 0.250
Na: 0.750 0.000 0.750
Sr: 0.264 0.500 0.764
Sr: 0.265 0.029 0.764
Sr: 0.265 0.501 0.236
Sr: 0.736 0.500 0.236
Sr: 0.736 0.500 0.764
Sr: 0.736 0.972 0.236
Tl: 0.000 0.500 0.500
Ir: 0.500 0.500 0.000

Main lines, in order of rising 2θ (2θ = 10–90°):
Position (°2θ)	Rel. int.
14.3	100.0
20.2	23.6
28.8	66.1
32.2	55.0
41.1	49.1
43.7	29.8
51.0	17.1
67.5	17.6

=====

No. 5
# NaSrYIr2
Theoretical X-ray powder pattern, Cu Kα. Input: DFT lattice parameters and positions (GGA-PBE).
Peak positions follow from Bragg's law for the DFT cell and can differ from measured ones.

Crystal structure
a b c (Å): 5.144 5.144 5.311
angles (deg): 90.00 90.00 90.00
Atoms (fractional coordinates):
Na: 0.000 0.000 0.000
Sr: 0.500 0.500 0.000
Y: 0.000 0.000 0.500
Ir: 0.000 0.500 0.500
Ir: 0.500 0.000 0.500

Main lines, in order of rising 2θ (2θ = 10–90°):
Position (°2θ)	Rel. int.
16.7	79.0
29.8	100.0
33.8	38.2
34.9	69.9
38.9	38.9
49.3	52.5
59.4	29.0
61.8	26.6

=====

No. 6
# Nb8Ir
Theoretical X-ray powder pattern, Cu Kα. Input: DFT lattice parameters and positions (GGA-PBE).
Peak positions follow from Bragg's law for the DFT cell and can differ from measured ones.

Crystal structure
a b c (Å): 8.535 7.350 5.435
angles (deg): 82.30 58.58 39.12
Atoms (fractional coordinates):
Nb: 0.164 0.164 0.836
Nb: 0.164 0.836 0.164
Nb: 0.170 0.500 0.500
Nb: 0.500 0.170 0.830
Nb: 0.500 0.830 0.170
Nb: 0.830 0.500 0.500
Nb: 0.836 0.164 0.836
Nb: 0.836 0.836 0.164
Ir: 0.500 0.500 0.500

Main lines, in order of rising 2θ (2θ = 10–90°):
Position (°2θ)	Rel. int.
22.1	4.6
38.7	21.0
38.9	100.0
56.1	20.4
70.2	13.5
70.3	7.0
70.4	20.3
83.4	8.5

=====

Repeat the fourth record exactly.
# Na2Sr6TlIr
Theoretical X-ray powder pattern, Cu Kα. Input: DFT lattice parameters and positions (GGA-PBE).
Peak positions follow from Bragg's law for the DFT cell and can differ from measured ones.

Crystal structure
a b c (Å): 8.780 8.780 8.780
angles (deg): 120.09 89.96 119.96
Atoms (fractional coordinates):
Na: 0.250 0.000 0.250
Na: 0.750 0.000 0.750
Sr: 0.264 0.500 0.764
Sr: 0.265 0.029 0.764
Sr: 0.265 0.501 0.236
Sr: 0.736 0.500 0.236
Sr: 0.736 0.500 0.764
Sr: 0.736 0.972 0.236
Tl: 0.000 0.500 0.500
Ir: 0.500 0.500 0.000

Main lines, in order of rising 2θ (2θ = 10–90°):
Position (°2θ)	Rel. int.
14.3	100.0
20.2	23.6
28.8	66.1
32.2	55.0
41.1	49.1
43.7	29.8
51.0	17.1
67.5	17.6

=====

What is the formula in the third record? Na2Sr4Ir